Simulated X-ray powder pattern of LiV2Zn2Si2O10 for a wavelength of 1.5418 Å, from a GGA+U-relaxed structure.
Peak positions follow from Bragg's law for the DFT cell and can differ from measured ones.

```
data_LiV2Zn2Si2O10
_symmetry_space_group_name_H-M 'P 1'
_symmetry_Int_Tables_number 1
_cell_length_a 5.2213
_cell_length_b 5.6306
_cell_length_c 7.4070
_cell_angle_alpha 108.23
_cell_angle_beta 105.24
_cell_angle_gamma 101.40
loop_
_symmetry_equiv_pos_as_xyz
'x,y,z'
loop_
_atom_site_label
_atom_site_type_symbol
_atom_site_fract_x
_atom_site_fract_y
_atom_site_fract_z
Li1 Li 0.0000 0.0000 0.0000
V1 V 0.0036 0.0004 0.4994
V2 V 0.5037 0.4998 0.9992
Zn1 Zn 0.4877 0.8809 0.7077
Zn2 Zn 0.5193 0.1191 0.2906
Si1 Si 0.0716 0.4146 0.2570
Si2 Si 0.9365 0.5863 0.7420
O1 O 0.1683 0.1779 0.3260
O2 O 0.1851 0.7039 0.4324
O3 O 0.1943 0.3736 0.0703
O4 O 0.2816 0.6950 0.8516
O5 O 0.3553 0.1882 0.7461
O6 O 0.6524 0.8121 0.2526
O7 O 0.7265 0.3046 0.1467
O8 O 0.8136 0.6263 0.9287
O9 O 0.8224 0.2972 0.5662
O10 O 0.8395 0.8231 0.6734
```

Largest 12 diffraction maxima, in order of rising 2θ, 10° ≤ 2θ ≤ 90°:
- d = 4.745 Å, intensity 11
- d = 3.439 Å, intensity 100
- d = 3.300 Å, intensity 11
- d = 3.029 Å, intensity 77
- d = 2.609 Å, intensity 72
- d = 2.467 Å, intensity 12
- d = 2.398 Å, intensity 13
- d = 2.361 Å, intensity 13
- d = 1.719 Å, intensity 16
- d = 1.697 Å, intensity 14
- d = 1.546 Å, intensity 16
- d = 1.510 Å, intensity 14